DyCr2Fe10: theoretical X-ray powder pattern (a wavelength of 1.5418 Å), based on the GGA-PBE geometry in the Materials Project.
Lines closer than 0.1° are merged.

Main lines, sorted by position (2θ = 5–70°):
- 30.4°, I 33
- 42.7°, I 43
- 43.2°, I 100
- 43.4°, I 73
- 44.3°, I 50
- 44.4°, I 45

Structure:
```
13
Lattice="-2.3379 4.1923 4.2322 2.3379 -4.1923 4.2322 2.3379 4.1923 -4.2322" Properties=species:S:1:pos:R:3 pbc="T T T"
Dy 0.0000 0.0000 0.0000
Cr 0.0000 0.0000 3.1128
Cr 0.0000 0.0000 5.3517
Fe 1.1690 2.0962 -2.1161
Fe 1.1690 -2.0962 2.1161
Fe 2.3379 1.8940 0.0000
Fe 2.3379 0.0000 1.9317
Fe 0.0000 3.0126 0.0000
Fe -1.1690 2.0962 2.1161
Fe 1.1690 2.0962 2.1161
Fe 0.0000 5.3720 0.0000
Fe 0.0000 4.1923 2.3005
Fe 0.0000 2.2984 4.2322
```